Entry 1:
Diffraction record for PmMg4In. The powder X-ray diffraction pattern is calculated, not measured: it uses a crystal structure in Alexandria, relaxed with PBE and λ = 1.5418 Å (Cu Kα).

```
data_PmMg4In
_cell_length_a 8.207
_cell_length_b 4.690
_cell_length_c 7.944
_cell_angle_alpha 90.00
_cell_angle_beta 90.00
_cell_angle_gamma 90.00
_symmetry_space_group_name_H-M 'P m m a'
_symmetry_Int_Tables_number 51
loop_
_symmetry_equiv_pos_as_xyz
'x,y,z'
'-x,-y,-z'
'-x+1/2,-y,z'
'x+1/2,y,-z'
'x+1/2,-y,-z'
'-x+1/2,y,z'
'-x,y,-z'
'x,-y,z'
loop_
_atom_site_label
_atom_site_type_symbol
_atom_site_fract_x
_atom_site_fract_y
_atom_site_fract_z
Pm1 Pm 0.250 0.000 0.139
Mg1 Mg 0.000 0.000 0.500
Mg2 Mg 0.048 0.500 0.815
Mg3 Mg 0.250 0.500 0.451
In1 In 0.250 0.000 0.744
```

Peak list (8 most intense, 2θ from 10° to 80°, sorted by position)
Position (°2θ), d_spacing, intensity
18.92, 4.690, 960
21.66, 4.104, 766
28.91, 3.088, 1000
31.07, 2.879, 635
31.46, 2.843, 801
35.63, 2.520, 413
36.87, 2.438, 760
38.38, 2.345, 484

---

Entry 2:
Diffraction record for PmMgTlIn. The powder X-ray diffraction pattern is calculated, not measured: it uses a crystal structure in Alexandria, relaxed with PBE and λ = 1.5418 Å (Cu Kα).

```
data_PmMgTlIn
_cell_length_a 4.593
_cell_length_b 4.728
_cell_length_c 4.760
_cell_angle_alpha 90.00
_cell_angle_beta 90.00
_cell_angle_gamma 90.00
_symmetry_space_group_name_H-M 'P m m m'
_symmetry_Int_Tables_number 47
loop_
_symmetry_equiv_pos_as_xyz
'x,y,z'
'-x,-y,-z'
'-x,-y,z'
'x,y,-z'
'x,-y,-z'
'-x,y,z'
'-x,y,-z'
'x,-y,z'
loop_
_atom_site_label
_atom_site_type_symbol
_atom_site_fract_x
_atom_site_fract_y
_atom_site_fract_z
Pm1 Pm 0.000 0.000 0.000
Mg1 Mg 0.000 0.500 0.500
Tl1 Tl 0.500 0.000 0.500
In1 In 0.500 0.500 0.000
```

Peak list (8 most intense, 2θ from 10° to 80°, sorted by position)
Position (°2θ), d_spacing, intensity
18.77, 4.728, 170
26.98, 3.305, 150
33.07, 2.709, 1000
37.80, 2.380, 174
38.06, 2.364, 171
39.23, 2.296, 157
65.27, 1.429, 140
65.63, 1.423, 137

---

Entry 3:
Diffraction record for PrMg12In6. The powder X-ray diffraction pattern is calculated, not measured: it uses a crystal structure in Alexandria, relaxed with PBE and λ = 1.5418 Å (Cu Kα).

```
data_PrMg12In6
_cell_length_a 13.1300
_cell_length_b 13.1300
_cell_length_c 9.8640
_cell_angle_alpha 90.00
_cell_angle_beta 90.00
_cell_angle_gamma 120.00
_symmetry_space_group_name_H-M 'R -3 m'
_symmetry_Int_Tables_number 166
_symmetry_space_group_name_Hall '-R 3 2"'
loop_
_atom_site_label
_atom_site_type_symbol
_atom_site_fract_x
_atom_site_fract_y
_atom_site_fract_z
Pr1 Pr 0.0000 0.0000 0.0000
Mg1 Mg 0.0000 0.3895 0.5000
Mg2 Mg 0.0816 0.1631 0.3132
In1 In 0.0305 0.5153 0.2433
```

Peak list (8 most intense, 2θ from 10° to 80°, sorted by position)
Position (°2θ), d_spacing, intensity
19.62, 4.525, 332
22.57, 3.940, 521
23.88, 3.726, 595
27.17, 3.282, 1000
27.53, 3.240, 444
33.73, 2.657, 308
39.06, 2.306, 383
39.85, 2.262, 641

---

Entry 4:
Diffraction record for PrMg4In15. The powder X-ray diffraction pattern is calculated, not measured: it uses a crystal structure in Alexandria, relaxed with PBE and λ = 1.5418 Å (Cu Kα).

```
data_PrMg4In15
_cell_length_a 4.666
_cell_length_b 4.666
_cell_length_c 23.239
_cell_angle_alpha 90.00
_cell_angle_beta 90.00
_cell_angle_gamma 90.00
_symmetry_space_group_name_H-M 'P 4/m m m'
_symmetry_Int_Tables_number 123
_symmetry_space_group_name_Hall '-P 4 2'
loop_
_atom_site_label
_atom_site_type_symbol
_atom_site_fract_x
_atom_site_fract_y
_atom_site_fract_z
Pr1 Pr 0.000 0.000 0.000
Mg1 Mg 0.000 0.000 0.202
Mg2 Mg 0.000 0.000 0.401
In1 In 0.000 0.500 0.106
In2 In 0.000 0.500 0.302
In3 In 0.000 0.500 0.500
In4 In 0.500 0.500 0.000
In5 In 0.500 0.500 0.205
In6 In 0.500 0.500 0.402
```

Peak list (8 most intense, 2θ from 10° to 80°, sorted by position)
Position (°2θ), d_spacing, intensity
33.30, 2.691, 1000
38.59, 2.333, 337
38.75, 2.324, 160
55.71, 1.650, 112
55.84, 1.647, 212
66.48, 1.406, 255
66.70, 1.402, 114
69.93, 1.345, 106

---

Entry 5:
Diffraction record for Pr5MgIn3. The powder X-ray diffraction pattern is calculated, not measured: it uses a crystal structure in Alexandria, relaxed with PBE and λ = 1.5418 Å (Cu Kα).

```
data_Pr5MgIn3
_cell_length_a 9.6782
_cell_length_b 9.6782
_cell_length_c 6.8184
_cell_angle_alpha 90.00
_cell_angle_beta 90.00
_cell_angle_gamma 120.00
_symmetry_space_group_name_H-M 'P 63/m c m'
_symmetry_Int_Tables_number 193
_symmetry_space_group_name_Hall '-P 6c 2'
loop_
_atom_site_label
_atom_site_type_symbol
_atom_site_fract_x
_atom_site_fract_y
_atom_site_fract_z
Pr1 Pr 0.0000 0.3085 0.2500
Pr2 Pr 0.3333 0.6667 0.0000
Mg1 Mg 0.0000 0.0000 0.0000
In1 In 0.0000 0.3527 0.7500
```

Peak list (8 most intense, 2θ from 10° to 80°, sorted by position)
Position (°2θ), d_spacing, intensity
10.55, 8.382, 63
26.14, 3.409, 61
32.07, 2.791, 1000
41.80, 2.161, 84
46.00, 1.973, 161
57.13, 1.612, 239
63.98, 1.455, 143
76.24, 1.249, 59

---

Entry 6:
Diffraction record for PrMg6In6. The powder X-ray diffraction pattern is calculated, not measured: it uses a crystal structure in Alexandria, relaxed with PBE and λ = 1.5418 Å (Cu Kα).

```
data_PrMg6In6
_cell_length_a 6.1669
_cell_length_b 6.1669
_cell_length_c 9.7337
_cell_angle_alpha 90.00
_cell_angle_beta 90.00
_cell_angle_gamma 120.00
_symmetry_space_group_name_H-M 'P 6/m m m'
_symmetry_Int_Tables_number 191
_symmetry_space_group_name_Hall '-P 6 2'
loop_
_atom_site_label
_atom_site_type_symbol
_atom_site_fract_x
_atom_site_fract_y
_atom_site_fract_z
Pr1 Pr 0.0000 0.0000 0.0000
Mg1 Mg 0.0000 0.5000 0.2439
In1 In 0.0000 0.0000 0.3471
In2 In 0.3333 0.6667 0.0000
In3 In 0.3333 0.6667 0.5000
```

Peak list (8 most intense, 2θ from 10° to 80°, sorted by position)
Position (°2θ), d_spacing, intensity
18.23, 4.867, 223
28.96, 3.083, 1000
32.28, 2.773, 335
34.43, 2.605, 680
40.35, 2.235, 181
51.32, 1.780, 198
60.01, 1.542, 193
64.95, 1.436, 271

---

Entry 7:
Diffraction record for PrSm2Mg2In2. The powder X-ray diffraction pattern is calculated, not measured: it uses a crystal structure in Alexandria, relaxed with PBE and λ = 1.5418 Å (Cu Kα).

```
data_PrSm2Mg2In2
_cell_length_a 5.0488
_cell_length_b 5.0488
_cell_length_c 27.0519
_cell_angle_alpha 90.00
_cell_angle_beta 90.00
_cell_angle_gamma 120.00
_symmetry_space_group_name_H-M 'R -3 m'
_symmetry_Int_Tables_number 166
_symmetry_space_group_name_Hall '-R 3 2"'
loop_
_atom_site_label
_atom_site_type_symbol
_atom_site_fract_x
_atom_site_fract_y
_atom_site_fract_z
Pr1 Pr 0.0000 0.0000 0.0000
Sm1 Sm 0.0000 0.0000 0.1300
Mg1 Mg 0.0000 0.0000 0.4029
In1 In 0.0000 0.0000 0.2618
```

Peak list (8 most intense, 2θ from 10° to 80°, sorted by position)
Position (°2θ), d_spacing, intensity
20.58, 4.316, 618
30.88, 2.896, 784
33.50, 2.675, 895
35.56, 2.524, 1000
47.80, 1.903, 232
49.66, 1.836, 293
62.56, 1.485, 290
63.38, 1.467, 325

---

Entry 8:
Diffraction record for Mg2InPt9. The powder X-ray diffraction pattern is calculated, not measured: it uses a crystal structure in Alexandria, relaxed with PBE and λ = 1.5418 Å (Cu Kα).

```
data_Mg2InPt9
_cell_length_a 3.984
_cell_length_b 3.984
_cell_length_c 12.012
_cell_angle_alpha 90.00
_cell_angle_beta 90.00
_cell_angle_gamma 90.00
_symmetry_space_group_name_H-M 'P 4/m m m'
_symmetry_Int_Tables_number 123
_symmetry_space_group_name_Hall '-P 4 2'
loop_
_atom_site_label
_atom_site_type_symbol
_atom_site_fract_x
_atom_site_fract_y
_atom_site_fract_z
Mg1 Mg 0.000 0.000 0.164
In1 In 0.000 0.000 0.500
Pt1 Pt 0.000 0.500 0.000
Pt2 Pt 0.000 0.500 0.327
Pt3 Pt 0.500 0.500 0.163
Pt4 Pt 0.500 0.500 0.500
```

Peak list (8 most intense, 2θ from 10° to 80°, sorted by position)
Position (°2θ), d_spacing, intensity
31.71, 2.822, 121
39.10, 2.304, 1000
45.30, 2.002, 162
45.54, 1.992, 328
66.18, 1.412, 212
66.36, 1.409, 108
79.46, 1.206, 123
79.80, 1.202, 258

---

Entry 9:
Diffraction record for Mg4InPt5. The powder X-ray diffraction pattern is calculated, not measured: it uses a crystal structure in Alexandria, relaxed with PBE and λ = 1.5418 Å (Cu Kα).

```
data_Mg4InPt5
_cell_length_a 2.988
_cell_length_b 2.988
_cell_length_c 18.258
_cell_angle_alpha 90.00
_cell_angle_beta 90.00
_cell_angle_gamma 90.00
_symmetry_space_group_name_H-M 'P 4/m m m'
_symmetry_Int_Tables_number 123
_symmetry_space_group_name_Hall '-P 4 2'
loop_
_atom_site_label
_atom_site_type_symbol
_atom_site_fract_x
_atom_site_fract_y
_atom_site_fract_z
Mg1 Mg 0.000 0.000 0.098
Mg2 Mg 0.000 0.000 0.293
In1 In 0.000 0.000 0.500
Pt1 Pt 0.500 0.500 0.000
Pt2 Pt 0.500 0.500 0.196
Pt3 Pt 0.500 0.500 0.393
```

Peak list (8 most intense, 2θ from 10° to 80°, sorted by position)
Position (°2θ), d_spacing, intensity
24.38, 3.652, 323
29.90, 2.988, 401
38.95, 2.313, 1000
42.80, 2.113, 393
49.90, 1.828, 312
62.13, 1.494, 131
67.82, 1.382, 265
75.81, 1.255, 287

---

Entry 10:
Diffraction record for Mg3InPt2. The powder X-ray diffraction pattern is calculated, not measured: it uses a crystal structure in Alexandria, relaxed with PBE and λ = 1.5418 Å (Cu Kα).

```
data_Mg3InPt2
_cell_length_a 4.295
_cell_length_b 12.991
_cell_length_c 3.817
_cell_angle_alpha 90.00
_cell_angle_beta 90.00
_cell_angle_gamma 90.00
_symmetry_space_group_name_H-M 'C m m m'
_symmetry_Int_Tables_number 65
_symmetry_space_group_name_Hall '-C 2 2'
loop_
_atom_site_label
_atom_site_type_symbol
_atom_site_fract_x
_atom_site_fract_y
_atom_site_fract_z
Mg1 Mg 0.000 0.000 0.000
Mg2 Mg 0.000 0.179 0.500
In1 In 0.000 0.500 0.500
Pt1 Pt 0.000 0.337 0.000
```

Peak list (8 most intense, 2θ from 10° to 80°, sorted by position)
Position (°2θ), d_spacing, intensity
21.80, 4.078, 439
23.30, 3.817, 147
27.10, 3.291, 195
29.29, 3.049, 169
36.32, 2.474, 156
37.76, 2.382, 1000
41.72, 2.165, 185
42.08, 2.147, 186

---

Entry 11:
Diffraction record for MgInPt2. The powder X-ray diffraction pattern is calculated, not measured: it uses a crystal structure in Alexandria, relaxed with PBE and λ = 1.5418 Å (Cu Kα).

```
data_MgInPt2
_cell_length_a 2.989
_cell_length_b 4.760
_cell_length_c 4.811
_cell_angle_alpha 90.00
_cell_angle_beta 90.00
_cell_angle_gamma 90.00
_symmetry_space_group_name_H-M 'P m m 2'
_symmetry_Int_Tables_number 25
loop_
_symmetry_equiv_pos_as_xyz
'x,y,z'
'-x,-y,z'
'-x,y,z'
'x,-y,z'
loop_
_atom_site_label
_atom_site_type_symbol
_atom_site_fract_x
_atom_site_fract_y
_atom_site_fract_z
Mg1 Mg 0.000 0.000 0.000
In1 In 0.000 0.500 0.446
Pt1 Pt 0.500 0.000 0.510
Pt2 Pt 0.500 0.500 0.946
```

Peak list (8 most intense, 2θ from 10° to 80°, sorted by position)
Position (°2θ), d_spacing, intensity
26.34, 3.384, 314
29.90, 2.989, 119
37.39, 2.405, 273
37.80, 2.380, 309
40.26, 2.240, 1000
54.22, 1.692, 188
69.38, 1.355, 146
69.91, 1.346, 196

---

Entry 12:
Diffraction record for MgInPt2. The powder X-ray diffraction pattern is calculated, not measured: it uses a crystal structure in Alexandria, relaxed with PBE and λ = 1.5418 Å (Cu Kα).

```
data_MgInPt2
_cell_length_a 5.895
_cell_length_b 9.796
_cell_length_c 4.720
_cell_angle_alpha 90.00
_cell_angle_beta 90.00
_cell_angle_gamma 90.00
_symmetry_space_group_name_H-M 'C m c m'
_symmetry_Int_Tables_number 63
_symmetry_space_group_name_Hall '-C 2c 2'
loop_
_atom_site_label
_atom_site_type_symbol
_atom_site_fract_x
_atom_site_fract_y
_atom_site_fract_z
Mg1 Mg 0.000 0.140 0.250
In1 In 0.000 0.349 0.750
Pt1 Pt 0.249 0.100 0.750
```

Peak list (8 most intense, 2θ from 10° to 80°, sorted by position)
Position (°2θ), d_spacing, intensity
26.22, 3.399, 321
30.32, 2.948, 124
36.70, 2.449, 242
38.13, 2.360, 326
40.51, 2.227, 1000
41.54, 2.174, 174
53.96, 1.699, 158
70.52, 1.335, 195